# 1
Structure and theoretical XRD peak list of LiV2OF5 (a crystal structure in the Materials Project, relaxed with PBE+U; Cu Kα, 1.54184 Å).

Largest 10 diffraction maxima, by angle, 2θ from 10° to 90°:
two_theta	I_rel
19.01	24.1
20.96	17.8
21.07	28.5
26.68	100.0
39.39	27.4
39.77	23.8
52.03	17.6
52.49	18.3
52.66	19.1
54.97	25.5

Atomic structure:
a b c (Å): 4.7246 4.7247 10.4083
angles (deg): 90.00 116.24 90.00
Element x y z (fractional)
Li 0.0000 0.2493 0.0000
Li 0.0000 0.7507 0.5000
V 0.3200 0.2399 0.3174
V 0.3200 0.7601 0.8174
V 0.6350 0.2283 0.6599
V 0.6350 0.7717 0.1599
O 0.3708 0.0496 0.1738
O 0.3708 0.9504 0.6738
F 0.0173 0.0487 0.8267
F 0.0173 0.9513 0.3267
F 0.2934 0.4350 0.4897
F 0.2934 0.5650 0.9897
F 0.6166 0.4476 0.8245
F 0.6166 0.5524 0.3245
F 0.6837 0.0533 0.4950
F 0.6837 0.9467 0.9950
F 0.9475 0.4600 0.1651
F 0.9475 0.5400 0.6651



# 2
Structure and theoretical XRD peak list of Li2VO2F (a crystal structure in the Materials Project, relaxed with PBE+U; Cu Kα, 1.54184 Å).

Largest 10 diffraction maxima, by angle, 2θ from 10° to 90°:
two_theta	I_rel
12.00	100.0
24.14	29.8
34.35	15.2
34.54	8.3
36.39	10.4
42.21	48.7
43.02	21.9
61.40	6.5
61.77	11.9
61.93	11.1

Atomic structure:
a b c (Å): 7.9126 7.9126 10.3880
angles (deg): 108.00 108.00 22.00
Element x y z (fractional)
Li 0.0000 0.0000 0.0000
Li 0.0011 0.0011 0.5000
Li 0.1300 0.1300 0.6958
Li 0.1512 0.1512 0.2328
Li 0.4899 0.4899 0.2406
Li 0.4971 0.4971 0.7169
Li 0.6350 0.6350 0.4768
Li 0.6455 0.6455 0.9721
V 0.3181 0.3181 0.9844
V 0.3191 0.3191 0.4755
V 0.8065 0.8065 0.7131
V 0.8183 0.8183 0.2287
O 0.2412 0.2412 0.1072
O 0.2408 0.2408 0.6046
O 0.3918 0.3918 0.3434
O 0.5679 0.5679 0.6012
O 0.7425 0.7425 0.3569
O 0.7531 0.7531 0.8646
O 0.8894 0.8894 0.6019
O 0.8966 0.8966 0.0975
F 0.0657 0.0657 0.8653
F 0.0679 0.0679 0.3419
F 0.3975 0.3975 0.8461
F 0.5680 0.5680 0.1036



What is the formula in the second record?
Li2VO2F